[1]
# Ac2Pm2Se3S2
Simulated powder X-ray diffraction pattern, Cu Kα. Input: DFT lattice parameters and positions (GGA-PBE).
No peak broadening, texture or thermal motion is included.

Crystal structure
Cell: 10.1437 10.1437 10.1437 Å, 148.85 148.85 44.63°
Sites, in units of the cell vectors:
Ac 0.1781 0.1781 0.0000
Ac 0.8219 0.8219 0.0000
Pm 0.0000 0.5000 0.5000
Pm 0.5000 0.0000 0.5000
Se 0.0000 0.0000 0.0000
Se 0.2500 0.7500 0.5000
Se 0.7500 0.2500 0.5000
S 0.4126 0.4126 0.0000
S 0.5874 0.5874 0.0000

Most intense lines, 5 to 70 degrees two-theta, sorted by position:
2theta, I (rel.)
16.95, 40
18.91, 28
21.63, 61
24.99, 32
28.89, 60
30.02, 63
32.89, 100
39.71, 27
44.33, 37
45.26, 47
47.20, 36
67.46, 29

---

[2]
# KSn2HgPb
Simulated powder X-ray diffraction pattern, Cu Kα. Input: DFT lattice parameters and positions (GGA-PBE).
No peak broadening, texture or thermal motion is included.

Crystal structure
Cell: 7.3357 7.3357 7.3357 Å, 142.83 136.04 58.89°
Sites, in units of the cell vectors:
K 0.0000 0.0000 0.0000
Sn 0.6209 0.6209 0.0000
Sn 0.7703 0.2703 0.5000
Hg 0.3957 0.3957 0.0000
Pb 0.2411 0.7411 0.5000

Most intense lines, 5 to 70 degrees two-theta, sorted by position:
2theta, I (rel.)
13.86, 40
17.58, 40
20.22, 35
28.35, 31
28.71, 100
32.62, 47
37.84, 88
38.51, 30
38.87, 30
51.33, 27
55.85, 37
69.20, 23

---

[3]
# Ba2AcPbS5
Simulated powder X-ray diffraction pattern, Cu Kα. Input: DFT lattice parameters and positions (GGA-PBE).
No peak broadening, texture or thermal motion is included.

Crystal structure
Cell: 9.4687 9.4687 13.1515 Å, 90.00 90.00 152.77°
Sites, in units of the cell vectors:
Ba 0.1113 0.8887 0.5000
Ba 0.1343 0.8657 0.1152
Ba 0.8657 0.1343 0.6152
Ba 0.8887 0.1113 0.0000
Ac 0.2126 0.7874 0.8228
Ac 0.7874 0.2126 0.3228
Pb 0.4724 0.5276 0.2705
Pb 0.5276 0.4724 0.7705
S 0.0504 0.9496 0.8811
S 0.2844 0.7156 0.4730
S 0.3211 0.6789 0.1783
S 0.3708 0.6292 0.8099
S 0.4919 0.5081 0.5775
S 0.5081 0.4919 0.0775
S 0.6292 0.3708 0.3099
S 0.6789 0.3211 0.6783
S 0.7156 0.2844 0.9730
S 0.9496 0.0504 0.3811

Most intense lines, 5 to 70 degrees two-theta, sorted by position:
2theta, I (rel.)
13.47, 24
22.46, 36
23.60, 48
24.65, 100
25.61, 37
28.97, 76
29.91, 57
34.41, 22
37.00, 20
40.46, 35
42.21, 26
51.13, 26

---

[4]
# Hg2BiPb5
Simulated powder X-ray diffraction pattern, Cu Kα. Input: DFT lattice parameters and positions (GGA-PBE).
No peak broadening, texture or thermal motion is included.

Crystal structure
Cell: 6.9247 6.9247 7.1123 Å, 120.86 120.86 86.47°
Sites, in units of the cell vectors:
Hg 0.0000 0.0000 0.0000
Hg 0.9999 0.9999 0.4999
Bi 0.4997 0.4997 0.0002
Pb 0.0000 0.4997 0.0005
Pb 0.9996 0.5003 0.5006
Pb 0.4997 0.0000 0.0005
Pb 0.5003 0.9996 0.5006
Pb 0.4997 0.4997 0.5004

Most intense lines, 5 to 70 degrees two-theta, sorted by position:
2theta, I (rel.)
31.29, 100
31.44, 99
35.57, 72
37.94, 30
50.98, 13
51.39, 13
52.98, 47
61.14, 31
61.41, 30
64.45, 26
65.28, 13
65.62, 13

---

[5]
# PmTlIr
Simulated powder X-ray diffraction pattern, Cu Kα. Input: DFT lattice parameters and positions (GGA-PBE).
No peak broadening, texture or thermal motion is included.

Crystal structure
Cell: 6.1249 6.1249 6.1249 Å, 146.35 146.35 48.33°
Sites, in units of the cell vectors:
Pm 0.0000 0.0000 0.0000
Tl 0.7122 0.7122 0.0000
Ir 0.3562 0.3562 0.0000

Most intense lines, 5 to 70 degrees two-theta, sorted by position:
2theta, I (rel.)
15.86, 9
26.37, 2
32.03, 2
34.93, 100
35.81, 53
39.39, 4
48.12, 11
48.87, 9
51.55, 19
62.07, 14
63.79, 36
66.98, 2

---

[6]
# SmPO4
Simulated powder X-ray diffraction pattern, Cu Kα. Input: DFT lattice parameters and positions (GGA-PBE).
No peak broadening, texture or thermal motion is included.

Crystal structure
Cell: 7.0818 7.0818 6.3514 Å, 90.00 90.00 120.00°
Sites, in units of the cell vectors:
Sm 0.0000 0.5006 0.3333
Sm 0.4994 0.4994 0.0000
Sm 0.5006 0.0000 0.6667
P 0.0000 0.5013 0.8333
P 0.4987 0.4987 0.5000
P 0.5013 0.0000 0.1667
O 0.1383 0.4465 0.9837
O 0.1380 0.6942 0.6826
O 0.3058 0.4438 0.3493
O 0.3082 0.8617 0.3170
O 0.4438 0.3058 0.6507
O 0.4465 0.1383 0.0163
O 0.5535 0.6918 0.6503
O 0.5562 0.8620 0.0160
O 0.6918 0.5535 0.3497
O 0.6942 0.1380 0.3174
O 0.8617 0.3082 0.6830
O 0.8620 0.5562 0.9840

Most intense lines, 5 to 70 degrees two-theta, sorted by position:
2theta, I (rel.)
14.44, 100
20.13, 74
25.15, 22
28.87, 18
29.12, 99
31.73, 75
38.06, 27
41.47, 40
46.68, 22
48.63, 49
53.29, 25
61.88, 19

---

[7]
# TbPt4
Simulated powder X-ray diffraction pattern, Cu Kα. Input: DFT lattice parameters and positions (GGA-PBE).
No peak broadening, texture or thermal motion is included.

Crystal structure
Cell: 7.8895 7.8895 7.8895 Å, 148.33 136.70 54.63°
Sites, in units of the cell vectors:
Tb 0.3573 0.1073 0.2500
Tb 0.6427 0.8927 0.7500
Pt 0.0000 0.5000 0.5000
Pt 0.1433 0.8933 0.2500
Pt 0.1776 0.6944 0.4832
Pt 0.2888 0.3056 0.9832
Pt 0.5000 0.5000 0.0000
Pt 0.7112 0.6944 0.0168
Pt 0.8224 0.3056 0.5168
Pt 0.8567 0.1067 0.7500

Most intense lines, 5 to 70 degrees two-theta, sorted by position:
2theta, I (rel.)
33.33, 5
37.86, 88
38.31, 100
40.28, 34
41.97, 40
42.17, 15
49.88, 6
50.06, 20
59.57, 22
63.98, 11
66.72, 9
67.32, 17

---

[8]
# PrHo2Ir2
Simulated powder X-ray diffraction pattern, Cu Kα. Input: DFT lattice parameters and positions (GGA-PBE).
No peak broadening, texture or thermal motion is included.

Crystal structure
Cell: 5.4933 4.4702 10.5293 Å, 90.00 96.64 90.00°
Sites, in units of the cell vectors:
Pr 0.0717 0.2500 0.2826
Pr 0.9283 0.7500 0.7174
Ho 0.2684 0.7500 0.0274
Ho 0.3753 0.2500 0.6104
Ho 0.6247 0.7500 0.3896
Ho 0.7316 0.2500 0.9726
Ir 0.1580 0.7500 0.4690
Ir 0.2039 0.2500 0.8654
Ir 0.7961 0.7500 0.1346
Ir 0.8420 0.2500 0.5310

Most intense lines, 5 to 70 degrees two-theta, sorted by position:
2theta, I (rel.)
16.96, 33
21.62, 27
32.06, 96
32.57, 100
35.30, 59
40.35, 66
40.51, 71
40.83, 31
41.76, 66
48.37, 35
54.68, 34
64.76, 29